1.
For NdNpBr6, a crystal structure in OQMD, relaxed with GGA-PBE gives the simulated PXRD pattern in this record (Cu Kα (weighted mean of Kα1 and Kα2)).
Neutral-atom scattering factors, no anomalous dispersion.

Atomic structure:
Unit cell a=9.2523 b=4.0876 c=13.6006 alpha=90.00 beta=90.00 gamma=90.00
Space group Amm2 (No. 38)
Symmetry-distinct sites (fractional):
Nd: 0.0000 0.0000 0.0000 x2
Np: 0.5000 0.0000 0.4799 x2
Br: 0.0000 0.0000 0.6523 x2
Br: 0.1838 0.0000 0.3916 x4
Br: 0.3185 0.0000 0.0884 x4
Br: 0.5000 0.0000 0.8292 x2

Top 10 peaks for 10 to 80 degrees two-theta, in order of rising 2θ:
index	2theta	I (rel.)
0 0 2	13.0	976
2 0 0	19.2	253
0 1 3	29.4	256
1 1 3	31.0	1000
3 0 2	31.9	357
2 0 4	32.7	253
3 1 1	37.1	561
1 1 5	41.0	299
3 1 3	41.7	271
2 0 6	44.5	358

2.
For NdTeBrO3, a crystal structure in OQMD, relaxed with GGA-PBE gives the simulated PXRD pattern in this record (Cu Kα (weighted mean of Kα1 and Kα2)).
Neutral-atom scattering factors, no anomalous dispersion.

Atomic structure:
Unit cell a=3.9012 b=3.9012 c=26.5341 alpha=90.00 beta=90.00 gamma=90.00
Space group P4/nmm (No. 129, origin choice 2)
Symmetry-distinct sites (fractional):
Nd: 0.2500 0.2500 0.0466 x2
Nd: 0.2500 0.2500 0.7116 x2
Te: 0.2500 0.2500 0.2026 x2
Te: 0.2500 0.2500 0.3845 x2
Br: 0.2500 0.2500 0.5508 x2
Br: 0.2500 0.2500 0.8929 x2
O: 0.2500 0.2500 0.2777 x2
O: 0.2500 0.7500 0.0000 x2
O: 0.2500 0.7500 0.2213 x4
O: 0.2500 0.7500 0.3491 x4

Top 10 peaks for 10 to 80 degrees two-theta, in order of rising 2θ:
index	2theta	I (rel.)
0 0 3	10.0	118
1 0 6	30.6	1000
1 1 0	32.5	405
0 0 12	40.8	84
2 0 0	46.6	230
1 1 12	53.1	166
2 1 6	56.7	345
2 0 12	63.6	90
2 2 0	68.0	112
3 0 6	76.3	72

3.
For NdUPBr2, a crystal structure in OQMD, relaxed with GGA-PBE gives the simulated PXRD pattern in this record (Cu Kα (weighted mean of Kα1 and Kα2)).
Neutral-atom scattering factors, no anomalous dispersion.

Atomic structure:
Unit cell a=4.0180 b=4.0180 c=10.9299 alpha=90.00 beta=90.00 gamma=120.00
Space group P3m1 (No. 156)
Symmetry-distinct sites (fractional):
Nd: 0.0000 0.0000 0.0000 x1
U: 0.3333 0.6667 0.7071 x1
P: 0.6667 0.3333 0.8474 x1
Br: 0.0000 0.0000 0.5352 x1
Br: 0.3333 0.6667 0.1776 x1

Top 10 peaks for 10 to 80 degrees two-theta, in order of rising 2θ:
index	2theta	I (rel.)
0 0 2	16.2	136
1 0 0	25.6	239
1 0 1	26.9	142
0 1 2	30.5	1000
0 1 3	35.7	142
1 0 4	42.0	298
1 1 0	45.1	276
2 0 2	55.4	186
1 1 6	69.7	97
1 2 2	74.2	160